This entry pairs a crystal structure of Lu2VNi with its simulated powder XRD pattern. Radiation: Cu Kα (weighted mean of Kα1 and Kα2). Structure: a DFT-relaxed cell (GGA-PBE, Alexandria).
Neutral-atom scattering factors, no anomalous dispersion.

Atomic structure:
```
Lu2VNi
1.0
3.4217 0.0000 0.0000
0.0000 3.4217 0.0000
0.0000 0.0000 6.6905
Lu V Ni
2 1 1
Cartesian
0.0000 0.0000 1.5957
0.0000 0.0000 5.0947
1.7109 1.7109 3.3452
1.7109 1.7109 0.0000
```

Top 8 peaks for 10 to 90 degrees two-theta, in order of rising 2θ:
- (1 0 0), 2θ = 26.0°, intensity 32
- (0 0 2), 2θ = 26.6°, intensity 15
- (1 1 0), 2θ = 37.2°, intensity 52
- (1 0 2), 2θ = 37.6°, intensity 100
- (1 1 2), 2θ = 46.3°, intensity 14
- (2 0 0), 2θ = 53.6°, intensity 18
- (2 1 2), 2θ = 67.3°, intensity 35
- (1 1 4), 2θ = 68.2°, intensity 16